Structure and calculated X-ray powder pattern of V5S8 (DFT lattice parameters and positions (GGA-PBE); Cu Kα (λ = 1.5418 Å)).
Intensities are scaled so that the largest is 100.

```
data_V5S8
_chemical_formula_sum 'V5 S8'
_symmetry_space_group_name_H-M 'P 1'
_symmetry_Int_Tables_number 1
_cell_length_a 6.561
_cell_length_b 6.561
_cell_length_c 7.950
_cell_angle_alpha 126.92
_cell_angle_beta 126.92
_cell_angle_gamma 60.57
loop_
_symmetry_equiv_pos_as_xyz
'x,y,z'
loop_
_atom_site_label
_atom_site_fract_x
_atom_site_fract_y
_atom_site_fract_z
_atom_site_occupancy
V1 0.000 0.000 0.000 1
V2 0.274 0.274 0.508 1
V3 0.293 0.707 0.500 1
V4 0.707 0.293 0.500 1
V5 0.726 0.726 0.492 1
S1 0.017 0.017 0.711 1
S2 0.039 0.540 0.752 1
S3 0.442 0.442 0.219 1
S4 0.460 0.961 0.248 1
S5 0.540 0.039 0.752 1
S6 0.558 0.558 0.781 1
S7 0.961 0.460 0.248 1
S8 0.983 0.983 0.289 1
```

The 10 most intense peaks (2θ from 10° to 90°), by angle:
Position (°2θ), Rel. int.
15.51, 73.5
17.44, 27.1
35.02, 54.4
35.29, 100.0
44.56, 69.2
45.16, 44.8
45.65, 24.9
55.55, 18.9
56.08, 38.2
57.88, 17.4